Simulated X-ray powder pattern
Compound: RbScNiF6
Radiation: λ = 1.5418 Å (Cu Kα)
Structure: DFT lattice parameters and positions (GGA+U)
Neutral-atom scattering factors, no anomalous dispersion.

Most intense lines, 2θ from 10° to 90°, by angle:
d/Å  2θ (°)  Rel. int.
6.219  14.24  41
3.762  23.65  30
3.241  27.52  100
3.218  27.72  79
3.178  28.08  89
3.036  29.42  58
2.073  43.67  47
1.881  48.39  62

Atomic structure:
```
RbScNiF6
1.0
-3.697 3.832 5.319
3.697 -3.832 5.319
3.697 3.832 -5.319
Rb Sc Ni F
2 2 2 12
Direct
0.340 0.090 0.250
0.660 0.910 0.750
0.000 0.500 0.500
0.500 0.500 0.000
0.000 0.000 0.500
0.000 0.500 0.000
0.064 0.422 0.243
0.064 0.821 0.642
0.068 0.818 0.250
0.320 0.179 0.743
0.320 0.578 0.142
0.321 0.571 0.750
0.679 0.429 0.250
0.680 0.422 0.858
0.680 0.821 0.257
0.932 0.182 0.750
0.936 0.179 0.358
0.936 0.578 0.757
```